1.
Computed XRD peak list
Compound: Ag8W
Radiation: λ = 1.5418 Å (Cu Kα)
Structure: a PBE-relaxed structure
Peak positions follow from Bragg's law for the DFT cell and can differ from measured ones.

Structural model:
Unit cell a=10.551 b=10.551 c=2.874 alpha=90.00 beta=90.00 gamma=90.00
Space group I4/mmm (No. 139)
Asymmetric unit:
Ag (0.000, 0.334, 0.000) (multiplicity 8)
Ag (0.166, 0.166, 0.500) (multiplicity 8)
W (0.000, 0.000, 0.000) (multiplicity 2)

The 6 most intense peaks (10 to 90 degrees two-theta), in order of rising 2θ:
2θ = 36.1°, I 69
2θ = 40.5°, I 100
2θ = 52.0°, I 24
2θ = 67.9°, I 41
2θ = 76.6°, I 22
2θ = 87.7°, I 21

***

2.
Computed XRD peak list
Compound: YSn2Rh5
Radiation: λ = 1.5418 Å (Cu Kα)
Structure: a PBE-relaxed structure
Peak positions follow from Bragg's law for the DFT cell and can differ from measured ones.

Structural model:
Unit cell a=4.100 b=5.956 c=12.152 alpha=90.00 beta=90.00 gamma=90.00
Space group Immm (No. 71)
Asymmetric unit:
Y (0.000, 0.000, 0.000) (multiplicity 2)
Sn (0.000, 0.500, 0.217) (multiplicity 4)
Rh (0.000, 0.230, 0.385) (multiplicity 8)
Rh (0.000, 0.500, 0.000) (multiplicity 2)

The 6 most intense peaks (10 to 90 degrees two-theta), in order of rising 2θ:
2θ = 30.3°, I 27
2θ = 38.1°, I 100
2θ = 42.5°, I 68
2θ = 43.3°, I 69
2θ = 44.2°, I 40
2θ = 63.0°, I 42

***

3.
Computed XRD peak list
Compound: La8Cd2Ru
Radiation: λ = 1.5418 Å (Cu Kα)
Structure: a PBE-relaxed structure
Peak positions follow from Bragg's law for the DFT cell and can differ from measured ones.

Structural model:
Unit cell a=18.508 b=5.676 c=7.113 alpha=90.00 beta=110.63 gamma=90.00
Space group C2/m (No. 12)
Asymmetric unit:
La (0.011, 0.000, 0.293) (multiplicity 4)
La (0.089, 0.500, 0.907) (multiplicity 4)
La (0.149, 0.500, 0.443) (multiplicity 4)
La (0.206, 0.000, 0.770) (multiplicity 4)
Cd (0.175, 0.000, 0.195) (multiplicity 4)
Ru (0.000, 0.500, 0.500) (multiplicity 2)

The 6 most intense peaks (10 to 90 degrees two-theta), in order of rising 2θ:
2θ = 28.5°, I 43
2θ = 29.1°, I 37
2θ = 30.2°, I 100
2θ = 31.5°, I 90
2θ = 33.1°, I 84
2θ = 34.0°, I 54

***

4.
Computed XRD peak list
Compound: Pm2CdSn6
Radiation: λ = 1.5418 Å (Cu Kα)
Structure: a PBE-relaxed structure
Peak positions follow from Bragg's law for the DFT cell and can differ from measured ones.

Structural model:
Unit cell a=15.780 b=8.792 c=4.444 alpha=90.00 beta=106.29 gamma=90.00
Space group Cm (No. 8)
Asymmetric unit:
Pm (0.000, 0.000, 0.000) (multiplicity 2)
Pm (0.240, 0.500, 0.738) (multiplicity 2)
Cd (0.370, 0.000, 0.367) (multiplicity 2)
Sn (0.060, 0.290, 0.559) (multiplicity 4)
Sn (0.180, 0.210, 0.179) (multiplicity 4)
Sn (0.370, 0.322, 0.369) (multiplicity 4)

The 6 most intense peaks (10 to 90 degrees two-theta), in order of rising 2θ:
2θ = 22.4°, I 61
2θ = 33.7°, I 79
2θ = 35.4°, I 81
2θ = 35.9°, I 100
2θ = 38.7°, I 55
2θ = 55.0°, I 55

***

5.
Computed XRD peak list
Compound: DySc3Al8
Radiation: λ = 1.5418 Å (Cu Kα)
Structure: a PBE-relaxed structure
Peak positions follow from Bragg's law for the DFT cell and can differ from measured ones.

Structural model:
Unit cell a=5.4076 b=5.4076 c=8.8525 alpha=90.00 beta=90.00 gamma=120.00
Space group P3m1 (No. 156)
Asymmetric unit:
Dy (0.0000, 0.0000, 0.0000) (multiplicity 1)
Sc (0.0000, 0.0000, 0.3670) (multiplicity 1)
Sc (0.6667, 0.3333, 0.4998) (multiplicity 1)
Sc (0.6667, 0.3333, 0.8614) (multiplicity 1)
Al (0.1619, 0.3239, 0.6798) (multiplicity 3)
Al (0.3333, 0.6667, 0.4346) (multiplicity 1)
Al (0.3333, 0.6667, 0.9321) (multiplicity 1)
Al (0.5047, 0.0094, 0.1873) (multiplicity 3)

The 6 most intense peaks (10 to 90 degrees two-theta), in order of rising 2θ:
2θ = 19.0°, I 40
2θ = 21.5°, I 59
2θ = 33.1°, I 60
2θ = 36.0°, I 100
2θ = 39.0°, I 86
2θ = 39.8°, I 59

***

6.
Computed XRD peak list
Compound: Mg14CdC
Radiation: λ = 1.5418 Å (Cu Kα)
Structure: a PBE-relaxed structure
Peak positions follow from Bragg's law for the DFT cell and can differ from measured ones.

Structural model:
Unit cell a=8.698 b=7.855 c=10.026 alpha=90.00 beta=90.00 gamma=90.00
Space group Amm2 (No. 38)
Asymmetric unit:
Mg (0.000, 0.000, 0.000) (multiplicity 2)
Mg (0.000, 0.000, 0.469) (multiplicity 2)
Mg (0.000, 0.210, 0.730) (multiplicity 4)
Mg (0.228, 0.000, 0.238) (multiplicity 4)
Mg (0.283, 0.000, 0.800) (multiplicity 4)
Mg (0.312, 0.185, 0.529) (multiplicity 8)
Mg (0.500, 0.232, 0.269) (multiplicity 4)
Cd (0.500, 0.000, 0.033) (multiplicity 2)
C (0.500, 0.000, 0.655) (multiplicity 2)

The 6 most intense peaks (10 to 90 degrees two-theta), in order of rising 2θ:
2θ = 10.2°, I 46
2θ = 17.6°, I 40
2θ = 20.4°, I 22
2θ = 25.0°, I 22
2θ = 35.6°, I 100
2θ = 35.8°, I 58